RbBaNa6: simulated XRD peak list (Cu Kα), based on the GGA-PBE geometry in Alexandria.

Crystal structure
```
data_RbBaNa6
_chemical_formula_sum 'Rb2 Ba2 Na12'
_cell_length_a 6.401
_cell_length_b 8.395
_cell_length_c 14.113
_cell_angle_alpha 90.00
_cell_angle_beta 90.00
_cell_angle_gamma 90.00
_space_group_name_H-M_alt 'A m m 2'
_space_group_IT_number 38
_space_group_name_Hall 'A 2 -2'
loop_
_atom_site_label
_atom_site_type_symbol
_atom_site_fract_x
_atom_site_fract_y
_atom_site_fract_z
_atom_site_occupancy
Rb1 Rb 0.000 0.000 0.000 1
Ba1 Ba 0.500 0.000 0.684 1
Na1 Na 0.000 0.000 0.501 1
Na2 Na 0.000 0.220 0.262 1
Na3 Na 0.500 0.000 0.189 1
Na4 Na 0.500 0.213 0.419 1
```

Principal peaks in the range 10 to 90 degrees two-theta, by angle:
| h k l | 2θ (°) | d [Å] | intensity |
| --- | --- | --- | --- |
| 0 1 1 | 12.27 | 7.215 | 232 |
| 1 1 1 | 18.53 | 4.788 | 640 |
| 1 0 2 | 18.72 | 4.741 | 356 |
| 0 1 3 | 21.66 | 4.104 | 270 |
| 2 0 0 | 27.88 | 3.200 | 342 |
| 1 2 2 | 28.40 | 3.143 | 1000 |
| 1 0 4 | 28.90 | 3.090 | 385 |
| 2 1 3 | 35.58 | 2.523 | 225 |
| 3 2 2 | 49.64 | 1.836 | 203 |
| 2 2 6 | 53.01 | 1.727 | 186 |

EuTm2Se4: simulated XRD peak list (Cu Kα), based on the GGA-PBE geometry in Alexandria.

Crystal structure
```
data_EuTm2Se4
_chemical_formula_sum 'Eu4 Tm8 Se16'
_cell_length_a 12.469
_cell_length_b 4.086
_cell_length_c 14.775
_cell_angle_alpha 90.00
_cell_angle_beta 90.00
_cell_angle_gamma 90.00
_space_group_name_H-M_alt 'P n m a'
_space_group_IT_number 62
_space_group_name_Hall '-P 2ac 2n'
loop_
_atom_site_label
_atom_site_type_symbol
_atom_site_fract_x
_atom_site_fract_y
_atom_site_fract_z
_atom_site_occupancy
Eu1 Eu 0.241 0.250 0.166 1
Tm1 Tm 0.061 0.250 0.389 1
Tm2 Tm 0.084 0.250 0.903 1
Se1 Se 0.029 0.750 0.785 1
Se2 Se 0.092 0.250 0.577 1
Se3 Se 0.130 0.750 0.032 1
Se4 Se 0.205 0.750 0.327 1
```

Principal peaks in the range 10 to 90 degrees two-theta, by angle:
| h k l | 2θ (°) | d [Å] | intensity |
| --- | --- | --- | --- |
| 0 0 4 | 24.09 | 3.694 | 474 |
| 3 0 2 | 24.58 | 3.622 | 980 |
| 1 1 2 | 25.92 | 3.437 | 612 |
| 1 1 3 | 29.29 | 3.049 | 952 |
| 4 0 2 | 31.13 | 2.873 | 494 |
| 2 1 4 | 35.80 | 2.508 | 1000 |
| 4 1 0 | 36.25 | 2.478 | 444 |
| 6 0 0 | 43.53 | 2.079 | 468 |
| 4 1 4 | 44.00 | 2.058 | 440 |
| 0 2 0 | 44.32 | 2.044 | 910 |

Ho2HgAs: simulated XRD peak list (Cu Kα), based on the GGA-PBE geometry in Alexandria.

Crystal structure
```
data_Ho2HgAs
_chemical_formula_sum 'Ho6 Hg3 As3'
_cell_length_a 3.9742
_cell_length_b 3.9742
_cell_length_c 23.1335
_cell_angle_alpha 90.00
_cell_angle_beta 90.00
_cell_angle_gamma 120.00
_space_group_name_H-M_alt 'R 3 m'
_space_group_IT_number 160
_space_group_name_Hall 'R 3 -2"'
loop_
_atom_site_label
_atom_site_type_symbol
_atom_site_fract_x
_atom_site_fract_y
_atom_site_fract_z
_atom_site_occupancy
Ho1 Ho 0.0000 0.0000 0.0000 1
Ho2 Ho 0.0000 0.0000 0.1888 1
Hg1 Hg 0.0000 0.0000 0.7620 1
As1 As 0.0000 0.0000 0.5936 1
```

Principal peaks in the range 10 to 90 degrees two-theta, by angle:
| h k l | 2θ (°) | d [Å] | intensity |
| --- | --- | --- | --- |
| 1 0 1 | 26.18 | 3.404 | 235 |
| 0 1 2 | 27.03 | 3.299 | 219 |
| 1 0 4 | 30.22 | 2.958 | 403 |
| 0 1 5 | 32.42 | 2.761 | 1000 |
| 1 0 7 | 37.74 | 2.384 | 349 |
| 1 1 0 | 45.66 | 1.987 | 502 |
| 1 0 10 | 47.35 | 1.920 | 148 |
| 2 0 5 | 57.10 | 1.613 | 201 |
| 1 1 12 | 67.72 | 1.384 | 210 |
| 1 2 5 | 75.99 | 1.252 | 175 |